Simulated powder diffractogram
Compound: Nd5In4Pt2
Radiation: CuKα
Structure: a structure optimized by DFT (PBE)
Intensities are scaled so that the largest is 100.

Structure:
Lattice parameters (Å, degrees): 8.2820 18.7245 3.7966 90.00 90.00 90.00
Fractional positions:
Nd (0.0000, 0.0000, 0.0000)
Nd (0.1165, 0.4158, 0.0000)
Nd (0.2418, 0.2214, 0.0000)
Nd (0.2582, 0.7214, 0.0000)
Nd (0.3835, 0.9158, 0.0000)
Nd (0.5000, 0.5000, 0.0000)
Nd (0.6165, 0.0842, 0.0000)
Nd (0.7418, 0.2786, 0.0000)
Nd (0.7582, 0.7786, 0.0000)
Nd (0.8835, 0.5842, 0.0000)
In (0.0712, 0.8511, 0.5000)
In (0.2113, 0.5700, 0.5000)
In (0.2887, 0.0700, 0.5000)
In (0.4288, 0.3511, 0.5000)
In (0.5712, 0.6489, 0.5000)
In (0.7113, 0.9300, 0.5000)
In (0.7887, 0.4300, 0.5000)
In (0.9288, 0.1489, 0.5000)
Pt (0.0212, 0.3038, 0.5000)
Pt (0.4788, 0.8038, 0.5000)
Pt (0.5212, 0.1962, 0.5000)
Pt (0.9788, 0.6962, 0.5000)

Largest 10 diffraction maxima, in order of rising 2θ, 10 to 90 degrees two-theta:
two_theta	I (rel.)	hkl
17.79	18	1 3 0
32.22	69	1 4 1
33.42	100	2 2 1
33.85	34	3 2 0
35.14	25	2 3 1
35.26	38	1 7 0
35.37	52	1 5 1
36.04	26	2 6 0
47.92	28	0 0 2
60.87	17	1 7 2